No. 1
LaPt2Cl2: computed PXRD pattern (Cu Kα X-rays), based on the PBE geometry in Alexandria.
Intensities are scaled so that the largest is 100.

Top 10 peaks for 10° ≤ 2θ ≤ 80°, low angle first:
d [Å], Rel. int.
5.130, 100
3.420, 16
2.565, 16
2.467, 83
2.278, 16
2.040, 31
1.797, 18
1.696, 21
1.597, 20
1.270, 16

Crystal structure
```
LaPt2Cl2
1.0
-1.7973 1.7973 10.2605
1.7973 -1.7973 10.2605
1.7973 1.7973 -10.2605
La Pt Cl
1 2 2
Cartesian
0.0000 0.0000 0.0000 La
1.7973 0.0000 5.1302 Pt
0.0000 1.7973 5.1302 Pt
0.0000 0.0000 8.6748 Cl
0.0000 0.0000 11.8461 Cl
```

---

No. 2
KBaCrH6: computed PXRD pattern (Cu Kα X-rays), based on the PBE geometry in Alexandria.
Intensities are scaled so that the largest is 100.

Top 10 peaks for 10° ≤ 2θ ≤ 80°, low angle first:
d [Å], Rel. int.
5.970, 52
4.690, 25
3.688, 100
2.985, 21
2.708, 50
2.466, 31
2.183, 24
2.006, 41
1.832, 13
1.700, 14

Crystal structure
```
KBaCrH6
1.0
5.9704 0.0000 0.0000
0.0000 2.7118 4.6831
0.0000 -2.7118 4.6831
K Ba Cr H
1 1 1 6
Cartesian
0.0000 0.0000 0.0000 K
2.9852 0.0000 3.1247 Ba
2.9852 0.0000 6.2503 Cr
1.9099 -1.1524 5.5876 H
1.9099 1.1524 5.5876 H
1.9141 0.0000 7.5813 H
4.0563 0.0000 7.5813 H
4.0605 -1.1524 5.5876 H
4.0605 1.1524 5.5876 H
```

---

No. 3
NpInP2: computed PXRD pattern (Cu Kα X-rays), based on the PBE geometry in Alexandria.
Intensities are scaled so that the largest is 100.

Top 10 peaks for 10° ≤ 2θ ≤ 80°, low angle first:
d [Å], Rel. int.
6.214, 30
3.452, 97
3.287, 60
3.107, 32
2.805, 30
2.557, 100
2.122, 40
2.028, 59
1.698, 35
1.589, 23

Crystal structure
```
NpInP2
1.0
2.0280 1.1708 6.2139
-2.0280 1.1708 6.2139
0.0000 -2.3417 6.2139
Np In P
1 1 2
Cartesian
0.0000 0.0000 0.0000 Np
0.0000 0.0000 3.2407 In
0.0000 0.0000 7.5819 P
0.0000 0.0000 10.9773 P
```

---

No. 4
RbPH4O5: computed PXRD pattern (Cu Kα X-rays), based on the PBE geometry in Alexandria.
Intensities are scaled so that the largest is 100.

Top 10 peaks for 10° ≤ 2θ ≤ 80°, low angle first:
d [Å], Rel. int.
4.405, 55
3.869, 46
3.828, 33
3.365, 86
3.314, 100
3.265, 26
2.990, 37
2.908, 40
2.688, 30
1.817, 34

Crystal structure
```
RbPH4O5
1.0
7.6295 0.0000 0.0000
0.0000 7.7372 0.0000
-1.9337 0.0000 9.4227
Rb P H O
4 4 16 20
Cartesian
1.4554 1.6276 0.1481 Rb
0.4886 2.2410 4.8595 Rb
5.2072 5.4962 4.5632 Rb
4.2403 6.1096 9.2746 Rb
2.4353 5.4083 1.5112 P
1.4685 6.1975 6.2226 P
4.2273 1.5397 3.2002 P
3.2605 2.3289 7.9115 P
0.0429 4.0466 2.1425 H
-0.9240 7.5592 6.8538 H
-0.5551 4.4030 7.1491 H
0.4117 7.2028 2.4378 H
1.7591 5.5509 4.1323 H
0.7923 6.0548 8.8436 H
1.6391 3.8776 7.6486 H
2.6059 7.7281 2.9372 H
3.0898 0.0090 6.4855 H
4.0567 3.8595 1.7741 H
4.9035 1.6824 0.5791 H
3.9366 2.1862 5.2904 H
5.2840 0.5344 6.9849 H
6.2509 3.3342 2.2736 H
6.6198 0.1780 2.5689 H
5.6529 3.6906 7.2803 H
-0.2342 0.0312 1.9626 O
-1.2011 3.8374 6.6739 O
1.4689 4.2906 1.2115 O
0.5021 7.3151 5.9229 O
1.5694 5.1287 5.0461 O
2.5362 6.4771 0.3347 O
1.1331 5.3580 7.4745 O
2.0999 6.2477 2.7631 O
2.7299 0.9995 3.0523 O
1.7631 2.8691 7.7637 O
3.9327 4.8681 1.6590 O
2.9658 6.7377 6.3704 O
3.5959 1.4895 6.6596 O
4.5627 2.3791 1.9483 O
3.1595 1.2601 9.0880 O
4.1264 2.6085 4.3766 O
5.1937 0.4220 3.4999 O
4.2268 3.4465 8.2112 O
6.8968 3.8997 2.7488 O
5.9300 7.7060 7.4602 O
```

---

> Which formula does entry 3 have?

NpInP2